Structure and calculated powder XRD pattern of Hg5Cl4O4 (a PBE-relaxed structure; CuKα).
Intensities are scaled so that the largest is 100.

Cell and atoms:
```
data_Hg5Cl4O4
_chemical_formula_sum 'Hg5 Cl4 O4'
_symmetry_space_group_name_H-M 'P -1'
_symmetry_Int_Tables_number 2
_cell_length_a 5.5846
_cell_length_b 7.0681
_cell_length_c 7.8295
_cell_angle_alpha 79.97
_cell_angle_beta 85.32
_cell_angle_gamma 84.37
loop_
_symmetry_equiv_pos_as_xyz
'x,y,z'
'-x,-y,-z'
loop_
_atom_site_label
_atom_site_fract_x
_atom_site_fract_y
_atom_site_fract_z
Hg1 0.0000 0.0000 0.0000
Hg2 0.2185 0.6402 0.3397
Hg3 0.2528 0.1458 0.3329
Cl1 0.1910 0.3841 0.9672
Cl2 0.2590 0.8600 0.6635
O1 0.2187 0.3682 0.4798
O2 0.2571 0.9113 0.1896
```

Top 6 peaks for 10 to 80 degrees two-theta, by intensity:
20.35 deg, I = 100; 29.99 deg, I = 62; 27.33 deg, I = 53; 31.72 deg, I = 53; 34.99 deg, I = 45; 19.10 deg, I = 35

Structure and calculated powder XRD pattern of Hg3Cl3O (a PBE-relaxed structure; CuKα).
Intensities are scaled so that the largest is 100.

Cell and atoms:
```
data_Hg3Cl3O
_chemical_formula_sum 'Hg6 Cl6 O2'
_symmetry_space_group_name_H-M 'P 1 21/m 1'
_symmetry_Int_Tables_number 11
_cell_length_a 8.1602
_cell_length_b 6.8469
_cell_length_c 8.1618
_cell_angle_alpha 90.00
_cell_angle_beta 119.99
_cell_angle_gamma 90.00
loop_
_symmetry_equiv_pos_as_xyz
'x,y,z'
'-x,-y,-z'
'-x,y+1/2,-z'
'x,-y+1/2,z'
loop_
_atom_site_label
_atom_site_fract_x
_atom_site_fract_y
_atom_site_fract_z
Hg1 0.0757 0.2500 0.1754
Hg2 0.3252 0.2500 0.9003
Hg3 0.3997 0.7500 0.5754
Cl1 0.1078 0.7500 0.2705
Cl2 0.2294 0.7500 0.8376
Cl3 0.3362 0.2500 0.6073
O1 0.3338 0.2500 0.1668
```

Top 6 peaks for 10 to 80 degrees two-theta, by intensity:
25.41 deg, I = 100; 26.03 deg, I = 60; 42.94 deg, I = 52; 33.55 deg, I = 51; 53.56 deg, I = 36; 21.78 deg, I = 33

Structure and calculated powder XRD pattern of Hg5Cl2O2 (a PBE-relaxed structure; CuKα).
Intensities are scaled so that the largest is 100.

Cell and atoms:
```
data_Hg5Cl2O2
_chemical_formula_sum 'Hg5 Cl2 O2'
_symmetry_space_group_name_H-M 'P -1'
_symmetry_Int_Tables_number 2
_cell_length_a 3.8819
_cell_length_b 6.3196
_cell_length_c 10.3431
_cell_angle_alpha 94.59
_cell_angle_beta 93.01
_cell_angle_gamma 92.73
loop_
_symmetry_equiv_pos_as_xyz
'x,y,z'
'-x,-y,-z'
loop_
_atom_site_label
_atom_site_fract_x
_atom_site_fract_y
_atom_site_fract_z
Hg1 0.0000 0.0000 0.0000
Hg2 0.2145 0.8656 0.3975
Hg3 0.2514 0.5518 0.1525
Cl1 0.3768 0.6846 0.7429
O1 0.1498 0.2885 0.9422
```

Top 6 peaks for 10 to 80 degrees two-theta, by intensity:
30.70 deg, I = 100; 15.89 deg, I = 88; 27.69 deg, I = 70; 21.38 deg, I = 68; 24.10 deg, I = 67; 31.77 deg, I = 63

Structure and calculated powder XRD pattern of Sr2HgClO3 (a PBE-relaxed structure; CuKα).
Intensities are scaled so that the largest is 100.

Cell and atoms:
```
data_Sr2HgClO3
_chemical_formula_sum 'Sr12 Hg6 Cl6 O18'
_symmetry_space_group_name_H-M 'R -3 m'
_symmetry_Int_Tables_number 166
_symmetry_space_group_name_Hall '-R 3 2"'
_cell_length_a 7.2108
_cell_length_b 7.2108
_cell_length_c 19.5635
_cell_angle_alpha 90.00
_cell_angle_beta 90.00
_cell_angle_gamma 120.00
loop_
_atom_site_label
_atom_site_fract_x
_atom_site_fract_y
_atom_site_fract_z
Sr1 0.0000 0.0000 0.0000
Sr2 0.0000 0.5000 0.5000
Hg1 0.0000 0.0000 0.4183
Cl1 0.0000 0.0000 0.2684
O1 0.0225 0.5113 0.7600
```

Top 6 peaks for 10 to 80 degrees two-theta, by intensity:
50.63 deg, I = 100; 24.69 deg, I = 86; 28.96 deg, I = 83; 26.89 deg, I = 73; 35.18 deg, I = 64; 37.18 deg, I = 56

Structure and calculated powder XRD pattern of SrHg2Cl2O2 (a PBE-relaxed structure; CuKα).
Intensities are scaled so that the largest is 100.

Cell and atoms:
```
data_SrHg2Cl2O2
_chemical_formula_sum 'Sr4 Hg8 Cl8 O8'
_symmetry_space_group_name_H-M 'P 1 21/c 1'
_symmetry_Int_Tables_number 14
_cell_length_a 8.4581
_cell_length_b 7.1623
_cell_length_c 11.7712
_cell_angle_alpha 90.00
_cell_angle_beta 122.01
_cell_angle_gamma 90.00
loop_
_symmetry_equiv_pos_as_xyz
'x,y,z'
'-x,-y,-z'
'-x,y+1/2,-z+1/2'
'x,-y+1/2,z+1/2'
loop_
_atom_site_label
_atom_site_fract_x
_atom_site_fract_y
_atom_site_fract_z
Sr1 0.1501 0.1239 0.3751
Hg1 0.2360 0.5633 0.6072
Hg2 0.3966 0.6709 0.3691
Cl1 0.0855 0.1830 0.6251
Cl2 0.4542 0.5991 0.1130
O1 0.1521 0.6815 0.7309
O2 0.3260 0.0788 0.9962
```

Top 6 peaks for 10 to 80 degrees two-theta, by intensity:
31.28 deg, I = 100; 15.23 deg, I = 99; 33.13 deg, I = 89; 35.98 deg, I = 88; 27.82 deg, I = 69; 33.94 deg, I = 67

Structure and calculated powder XRD pattern of Hg4TeCl2O (a PBE-relaxed structure; CuKα).
Intensities are scaled so that the largest is 100.

Cell and atoms:
```
data_Hg4TeCl2O
_chemical_formula_sum 'Hg16 Te4 Cl8 O4'
_symmetry_space_group_name_H-M 'C 1 2/c 1'
_symmetry_Int_Tables_number 15
_cell_length_a 10.2732
_cell_length_b 12.3678
_cell_length_c 8.5927
_cell_angle_alpha 90.00
_cell_angle_beta 124.42
_cell_angle_gamma 90.00
loop_
_symmetry_equiv_pos_as_xyz
'x,y,z'
'-x,-y,-z'
'-x,y,-z+1/2'
'x,-y,z+1/2'
'x+1/2,y+1/2,z'
'-x+1/2,-y+1/2,-z'
'-x+1/2,y+1/2,-z+1/2'
'x+1/2,-y+1/2,z+1/2'
loop_
_atom_site_label
_atom_site_fract_x
_atom_site_fract_y
_atom_site_fract_z
Hg1 0.0344 0.2442 0.0332
Hg2 0.2162 0.0704 0.8978
Te1 0.0000 0.0000 0.0000
Cl1 0.0000 0.5000 0.0000
Cl2 0.2500 0.2500 0.5000
O1 0.2500 0.2500 0.0000
```

Top 6 peaks for 10 to 80 degrees two-theta, by intensity:
25.13 deg, I = 100; 34.47 deg, I = 80; 34.96 deg, I = 78; 24.19 deg, I = 61; 12.66 deg, I = 60; 25.48 deg, I = 55

Structure and calculated powder XRD pattern of Hg2OsCl6 (a PBE-relaxed structure; CuKα).
Intensities are scaled so that the largest is 100.

Cell and atoms:
```
data_Hg2OsCl6
_chemical_formula_sum 'Hg8 Os4 Cl24'
_symmetry_space_group_name_H-M 'C 1 2/c 1'
_symmetry_Int_Tables_number 15
_cell_length_a 13.7439
_cell_length_b 14.4852
_cell_length_c 6.0396
_cell_angle_alpha 90.00
_cell_angle_beta 95.51
_cell_angle_gamma 90.00
loop_
_symmetry_equiv_pos_as_xyz
'x,y,z'
'-x,-y,-z'
'-x,y,-z+1/2'
'x,-y,z+1/2'
'x+1/2,y+1/2,z'
'-x+1/2,-y+1/2,-z'
'-x+1/2,y+1/2,-z+1/2'
'x+1/2,-y+1/2,z+1/2'
loop_
_atom_site_label
_atom_site_fract_x
_atom_site_fract_y
_atom_site_fract_z
Hg1 0.0489 0.1170 0.0769
Os1 0.0000 0.4387 0.2500
Cl1 0.0971 0.4414 0.9431
Cl2 0.1001 0.3306 0.4235
Cl3 0.1448 0.1075 0.7670
```

Top 6 peaks for 10 to 80 degrees two-theta, by intensity:
12.94 deg, I = 100; 31.72 deg, I = 33; 42.93 deg, I = 31; 17.79 deg, I = 27; 34.69 deg, I = 24; 19.50 deg, I = 22